Record 1
Theoretical powder X-ray diffraction pattern of LiNb2Pd3 for Cu Kα (λ = 1.5418 Å), from the GGA-PBE geometry in Alexandria.
Intensities are scaled so that the largest is 100.

Cell and atoms:
```
data_LiNb2Pd3
_chemical_formula_sum 'Li1 Nb2 Pd3'
_cell_length_a 2.8759
_cell_length_b 2.8759
_cell_length_c 11.2302
_cell_angle_alpha 90.00
_cell_angle_beta 90.00
_cell_angle_gamma 90.00
_space_group_name_H-M_alt 'P 4/m m m'
_space_group_IT_number 123
_space_group_name_Hall '-P 4 2'
loop_
_atom_site_label
_atom_site_type_symbol
_atom_site_fract_x
_atom_site_fract_y
_atom_site_fract_z
Li1 Li 0.0000 0.0000 0.0000
Nb1 Nb 0.0000 0.0000 0.3186
Pd1 Pd 0.5000 0.5000 0.1468
Pd2 Pd 0.5000 0.5000 0.5000
```

Main lines, low angle first (2θ = 15–90°):
2θ 32.13, I 7, (1 0 1)
2θ 35.06, I 16, (1 0 2)
2θ 39.52, I 100, (1 0 3)
2θ 40.15, I 8, (0 0 5)
2θ 44.56, I 39, (1 1 0)
2θ 48.65, I 10, (0 0 6)
2θ 61.51, I 9, (1 1 5)
2θ 64.84, I 12, (2 0 0)
2θ 68.08, I 15, (1 1 6)
2θ 75.34, I 9, (1 0 8)
2θ 78.66, I 25, (2 1 3)
2θ 85.08, I 8, (2 0 6)

Record 2
Theoretical powder X-ray diffraction pattern of LuAlZnPd for Cu Kα (λ = 1.5418 Å), from the GGA-PBE geometry in Alexandria.
Intensities are scaled so that the largest is 100.

Cell and atoms:
```
data_LuAlZnPd
_chemical_formula_sum 'Lu4 Al4 Zn4 Pd4'
_cell_length_a 6.5397
_cell_length_b 6.5397
_cell_length_c 6.5397
_cell_angle_alpha 90.00
_cell_angle_beta 90.00
_cell_angle_gamma 90.00
_space_group_name_H-M_alt 'F -4 3 m'
_space_group_IT_number 216
_space_group_name_Hall 'F -4 2 3'
loop_
_atom_site_label
_atom_site_type_symbol
_atom_site_fract_x
_atom_site_fract_y
_atom_site_fract_z
Lu1 Lu 0.0000 0.0000 0.0000
Al1 Al 0.0000 0.0000 0.5000
Zn1 Zn 0.2500 0.2500 0.7500
Pd1 Pd 0.2500 0.2500 0.2500
```

Main lines, low angle first (2θ = 15–90°):
2θ 23.56, I 38, (1 1 1)
2θ 38.95, I 100, (2 2 0)
2θ 46.03, I 20, (3 1 1)
2θ 56.27, I 17, (4 0 0)
2θ 61.84, I 8, (3 3 1)
2θ 70.55, I 34, (4 2 2)
2θ 75.55, I 6, (5 1 1)
2θ 83.65, I 11, (4 4 0)
2θ 88.44, I 7, (5 3 1)

Record 3
Theoretical powder X-ray diffraction pattern of NdSm4Dy4 for Cu Kα (λ = 1.5418 Å), from the GGA-PBE geometry in Alexandria.
Intensities are scaled so that the largest is 100.

Cell and atoms:
```
data_NdSm4Dy4
_chemical_formula_sum 'Nd2 Sm8 Dy8'
_cell_length_a 10.7946
_cell_length_b 10.7946
_cell_length_c 5.0726
_cell_angle_alpha 90.00
_cell_angle_beta 90.00
_cell_angle_gamma 90.00
_space_group_name_H-M_alt 'I 4/m m m'
_space_group_IT_number 139
_space_group_name_Hall '-I 4 2'
loop_
_atom_site_label
_atom_site_type_symbol
_atom_site_fract_x
_atom_site_fract_y
_atom_site_fract_z
Nd1 Nd 0.0000 0.0000 0.0000
Sm1 Sm 0.0000 0.3324 0.0000
Dy1 Dy 0.1670 0.1670 0.5000
```

Main lines, low angle first (2θ = 15–90°):
2θ 30.46, I 100, (3 0 1)
2θ 35.28, I 34, (3 3 0)
2θ 35.39, I 17, (0 0 2)
2θ 50.80, I 36, (6 0 0)
2θ 60.35, I 29, (6 3 1)
2θ 60.50, I 14, (3 0 3)
2θ 63.38, I 12, (6 0 2)
2θ 74.60, I 4, (6 6 0)
2θ 82.67, I 6, (9 0 1)
2θ 82.81, I 12, (6 3 3)
2θ 85.33, I 11, (9 3 0)
2θ 85.57, I 5, (3 3 4)

Record 4
Theoretical powder X-ray diffraction pattern of UH2O4 for Cu Kα (λ = 1.5418 Å), from the GGA-PBE geometry in Alexandria.
Intensities are scaled so that the largest is 100.

Cell and atoms:
```
data_UH2O4
_chemical_formula_sum 'U4 H8 O16'
_cell_length_a 4.2438
_cell_length_b 10.3559
_cell_length_c 6.9637
_cell_angle_alpha 90.00
_cell_angle_beta 90.00
_cell_angle_gamma 90.00
_space_group_name_H-M_alt 'C m c e'
_space_group_IT_number 64
_space_group_name_Hall '-C 2ac 2'
loop_
_atom_site_label
_atom_site_type_symbol
_atom_site_fract_x
_atom_site_fract_y
_atom_site_fract_z
U1 U 0.0000 0.0000 0.0000
H1 H 0.0000 0.1654 0.3570
O1 O 0.0000 0.0696 0.3500
O2 O 0.0000 0.1628 0.9030
```

Main lines, low angle first (2θ = 15–90°):
2θ 17.12, I 72, (0 2 0)
2θ 25.58, I 27, (0 0 2)
2θ 26.05, I 100, (1 1 1)
2θ 30.95, I 31, (0 2 2)
2θ 35.93, I 35, (1 3 1)
2θ 42.61, I 13, (2 0 0)
2θ 43.56, I 13, (0 4 2)
2θ 45.39, I 30, (1 1 3)
2θ 46.24, I 12, (2 2 0)
2θ 50.77, I 21, (1 5 1)
2θ 52.15, I 18, (1 3 3)
2θ 53.59, I 14, (2 2 2)

Record 5
Theoretical powder X-ray diffraction pattern of AcTa3Cu4S12 for Cu Kα (λ = 1.5418 Å), from the GGA-PBE geometry in Alexandria.
Intensities are scaled so that the largest is 100.

Cell and atoms:
```
data_AcTa3Cu4S12
_chemical_formula_sum 'Ac3 Ta9 Cu12 S36'
_cell_length_a 13.1714
_cell_length_b 13.1714
_cell_length_c 9.0709
_cell_angle_alpha 90.00
_cell_angle_beta 90.00
_cell_angle_gamma 120.00
_space_group_name_H-M_alt 'R 3 2'
_space_group_IT_number 155
_space_group_name_Hall 'R 3 2"'
loop_
_atom_site_label
_atom_site_type_symbol
_atom_site_fract_x
_atom_site_fract_y
_atom_site_fract_z
Ac1 Ac 0.0000 0.0000 0.0000
Ta1 Ta 0.0000 0.5528 0.0000
Cu1 Cu 0.0000 0.0000 0.5000
Cu2 Cu 0.0000 0.4384 0.5000
S1 S 0.0000 0.6069 0.5000
S2 S 0.0000 0.8326 0.5000
S3 S 0.0502 0.2085 0.1943
```

Main lines, low angle first (2θ = 15–90°):
2θ 18.38, I 45, (0 2 1)
2θ 22.84, I 31, (2 1 1)
2θ 25.09, I 100, (2 0 2)
2θ 27.08, I 33, (2 2 0)
2θ 29.91, I 20, (1 3 1)
2θ 34.57, I 19, (3 1 2)
2θ 37.25, I 16, (0 4 2)
2θ 42.92, I 22, (0 2 4)
2θ 45.38, I 21, (5 1 1)
2θ 47.30, I 16, (4 1 3)
2θ 49.93, I 20, (5 2 0)
2θ 51.46, I 17, (4 0 4)

Record 6
Theoretical powder X-ray diffraction pattern of La3CePm2Te6 for Cu Kα (λ = 1.5418 Å), from the GGA-PBE geometry in Alexandria.
Intensities are scaled so that the largest is 100.

Cell and atoms:
```
data_La3CePm2Te6
_chemical_formula_sum 'La6 Ce2 Pm4 Te12'
_cell_length_a 19.7271
_cell_length_b 4.5115
_cell_length_c 9.1031
_cell_angle_alpha 90.00
_cell_angle_beta 103.18
_cell_angle_gamma 90.00
_space_group_name_H-M_alt 'C 1 2/m 1'
_space_group_IT_number 12
loop_
_space_group_symop_operation_xyz
'x,y,z'
'-x,-y,-z'
'-x,y,-z'
'x,-y,z'
'x+1/2,y+1/2,z'
'-x+1/2,-y+1/2,-z'
'-x+1/2,y+1/2,-z'
'x+1/2,-y+1/2,z'
loop_
_atom_site_label
_atom_site_type_symbol
_atom_site_fract_x
_atom_site_fract_y
_atom_site_fract_z
La1 La 0.0000 0.0000 0.0000
La2 La 0.1662 0.5000 0.3331
Ce1 Ce 0.0000 0.0000 0.5000
Pm1 Pm 0.1668 0.5000 0.8328
Te1 Te 0.0020 0.5000 0.7475
Te2 Te 0.1658 0.0000 0.5876
Te3 Te 0.1683 0.0000 0.0789
```

Main lines, low angle first (2θ = 15–90°):
2θ 27.85, I 100, (6 0 0)
2θ 39.60, I 13, (2 0 -4)
2θ 39.80, I 51, (5 1 2)
2θ 39.97, I 13, (0 2 0)
2θ 49.05, I 7, (4 0 4)
2θ 49.19, I 7, (8 0 -4)
2θ 49.43, I 14, (6 2 0)
2θ 57.55, I 13, (12 0 0)
2θ 65.05, I 6, (4 2 4)
2θ 65.13, I 12, (11 1 2)
2θ 72.06, I 6, (10 0 4)
2θ 72.42, I 9, (5 3 2)